Structure and calculated powder X-ray diffraction pattern of SrGa2B2O7 (a DFT-relaxed cell (GGA-PBE, the Materials Project); Cu Kα (λ = 1.5418 Å)).
No peak broadening, texture or thermal motion is included.

Crystal structure
Unit cell a=11.851 b=8.439 c=5.801 alpha=90.00 beta=90.00 gamma=90.00
Space group Cmcm (No. 63)
Inequivalent atoms, fractional coordinates:
1 Sr 0.000 0.183 0.250
2 Ga 0.209 0.084 0.750
3 B 0.109 0.404 0.750
4 O 0.000 0.339 0.750
5 O 0.129 0.000 0.000
6 O 0.130 0.435 0.250
7 O 0.199 0.304 0.750

Main lines, by angle (5 to 70 degrees two-theta):
| 2θ/deg | d/Å | intensity |
| --- | --- | --- |
| 12.9 | 6.874 | 20 |
| 25.9 | 3.437 | 26 |
| 29.3 | 3.045 | 59 |
| 30.2 | 2.957 | 100 |
| 30.8 | 2.900 | 62 |
| 45.8 | 1.983 | 34 |
| 50.9 | 1.793 | 22 |
| 54.4 | 1.685 | 17 |